(1)
The following is a calculated X-ray powder pattern of MnGa2Ge4. It was derived from a DFT-relaxed cell (PBE, Alexandria), using Cu Ka.
Kinematic intensities with the Lorentz-polarization factor, no thermal factor.

Atomic structure:
```
data_MnGa2Ge4
_chemical_formula_sum 'Mn2 Ga4 Ge8'
_space_group_name_H-M_alt 'I 4/m m m'
_space_group_IT_number 139
_space_group_name_Hall '-I 4 2'
_cell_length_a 4.3843
_cell_length_b 4.3843
_cell_length_c 16.1257
_cell_angle_alpha 90.00
_cell_angle_beta 90.00
_cell_angle_gamma 90.00
loop_
_atom_site_label
_atom_site_type_symbol
_atom_site_fract_x
_atom_site_fract_y
_atom_site_fract_z
_atom_site_occupancy
Mn1 Mn 0.0000 0.0000 0.0000 1
Ga1 Ga 0.0000 0.0000 0.3063 1
Ge1 Ge 0.0000 0.0000 0.1470 1
Ge2 Ge 0.0000 0.5000 0.0000 1
```

Top 10 peaks for 2θ = 10–80°, by angle:
| two_theta | d/Å | I_rel | index |
| --- | --- | --- | --- |
| 21.00 | 4.231 | 41 | 1 0 1 |
| 28.80 | 3.100 | 41 | 1 1 0 |
| 30.90 | 2.894 | 100 | 1 1 2 |
| 33.34 | 2.688 | 52 | 0 0 6 |
| 36.56 | 2.458 | 42 | 1 1 4 |
| 41.18 | 2.192 | 94 | 2 0 0 |
| 44.42 | 2.039 | 52 | 1 0 7 |
| 53.98 | 1.699 | 51 | 2 0 6 |
| 59.65 | 1.550 | 31 | 2 2 0 |
| 62.17 | 1.493 | 36 | 2 1 7 |



(2)
The following is a calculated X-ray powder pattern of Mn2GaGe. It was derived from a DFT-relaxed cell (PBE, Alexandria), using Cu Ka.
Kinematic intensities with the Lorentz-polarization factor, no thermal factor.

Atomic structure:
```
data_Mn2GaGe
_chemical_formula_sum 'Mn4 Ga2 Ge2'
_space_group_name_H-M_alt 'C 1 m 1'
_space_group_IT_number 8
_cell_length_a 4.9081
_cell_length_b 2.8251
_cell_length_c 8.2441
_cell_angle_alpha 90.00
_cell_angle_beta 101.18
_cell_angle_gamma 90.00
loop_
_space_group_symop_operation_xyz
'x,y,z'
'x,-y,z'
'x+1/2,y+1/2,z'
'x+1/2,-y+1/2,z'
loop_
_atom_site_label
_atom_site_type_symbol
_atom_site_fract_x
_atom_site_fract_y
_atom_site_fract_z
_atom_site_occupancy
Mn1 Mn 0.0000 0.0000 0.0000 1
Mn2 Mn 0.1668 0.0000 0.5031 1
Ga1 Ga 0.2502 0.5000 0.2514 1
Ge1 Ge 0.0836 0.5000 0.7520 1
```

Top 10 peaks for 2θ = 10–80°, by angle:
| two_theta | d/Å | I_rel | index |
| --- | --- | --- | --- |
| 36.87 | 2.438 | 17 | 1 1 0 |
| 37.35 | 2.408 | 16 | 2 0 0 |
| 37.49 | 2.399 | 32 | 1 1 -1 |
| 39.67 | 2.272 | 14 | 2 0 -2 |
| 41.14 | 2.194 | 45 | 2 0 1 |
| 41.34 | 2.184 | 89 | 1 1 -2 |
| 44.83 | 2.022 | 49 | 0 0 4 |
| 45.32 | 2.001 | 100 | 1 1 2 |
| 65.98 | 1.416 | 29 | 3 1 -1 |
| 66.15 | 1.413 | 20 | 0 2 0 |



(3)
The following is a calculated X-ray powder pattern of Mn6Ga2GeN. It was derived from a DFT-relaxed cell (PBE, Alexandria), using Cu Ka.
Kinematic intensities with the Lorentz-polarization factor, no thermal factor.

Atomic structure:
```
data_Mn6Ga2GeN
_chemical_formula_sum 'Mn6 Ga2 Ge1 N1'
_space_group_name_H-M_alt 'P 4/m m m'
_space_group_IT_number 123
_space_group_name_Hall '-P 4 2'
_cell_length_a 4.2925
_cell_length_b 4.2925
_cell_length_c 8.2257
_cell_angle_alpha 90.00
_cell_angle_beta 90.00
_cell_angle_gamma 90.00
loop_
_atom_site_label
_atom_site_type_symbol
_atom_site_fract_x
_atom_site_fract_y
_atom_site_fract_z
_atom_site_occupancy
Mn1 Mn 0.0000 0.0000 0.2206 1
Mn2 Mn 0.0000 0.5000 0.0000 1
Mn3 Mn 0.0000 0.5000 0.5000 1
Ga1 Ga 0.5000 0.5000 0.2524 1
Ge1 Ge 0.0000 0.0000 0.5000 1
N1 N 0.0000 0.0000 0.0000 1
```

Top 10 peaks for 2θ = 10–80°, by angle:
| two_theta | d/Å | I_rel | index |
| --- | --- | --- | --- |
| 29.43 | 3.035 | 9 | 1 1 0 |
| 30.09 | 2.970 | 20 | 1 0 2 |
| 36.80 | 2.442 | 100 | 1 1 2 |
| 38.98 | 2.311 | 9 | 1 0 3 |
| 42.10 | 2.146 | 74 | 2 0 0 |
| 44.03 | 2.056 | 29 | 0 0 4 |
| 61.06 | 1.518 | 23 | 2 2 0 |
| 62.56 | 1.485 | 38 | 2 0 4 |
| 73.46 | 1.289 | 23 | 3 1 2 |
| 78.30 | 1.221 | 19 | 2 2 4 |



(4)
The following is a calculated X-ray powder pattern of ScMn6GaGe5. It was derived from a DFT-relaxed cell (PBE, Alexandria), using Cu Ka.
Kinematic intensities with the Lorentz-polarization factor, no thermal factor.

Atomic structure:
```
data_ScMn6GaGe5
_chemical_formula_sum 'Sc1 Mn6 Ga1 Ge5'
_space_group_name_H-M_alt 'P -6 m 2'
_space_group_IT_number 187
_space_group_name_Hall 'P -6 2'
_cell_length_a 5.0975
_cell_length_b 5.0975
_cell_length_c 8.1504
_cell_angle_alpha 90.00
_cell_angle_beta 90.00
_cell_angle_gamma 120.00
loop_
_atom_site_label
_atom_site_type_symbol
_atom_site_fract_x
_atom_site_fract_y
_atom_site_fract_z
_atom_site_occupancy
Sc1 Sc 0.0000 0.0000 0.0000 1
Mn1 Mn 0.0007 0.5004 0.2467 1
Ga1 Ga 0.6667 0.3333 0.5000 1
Ge1 Ge 0.0000 0.0000 0.3383 1
Ge2 Ge 0.3333 0.6667 0.0000 1
Ge3 Ge 0.3333 0.6667 0.5000 1
Ge4 Ge 0.6667 0.3333 0.0000 1
```

Top 10 peaks for 2θ = 10–80°, by angle:
| two_theta | d/Å | I_rel | index |
| --- | --- | --- | --- |
| 35.21 | 2.549 | 66 | 1 1 0 |
| 38.93 | 2.314 | 27 | 1 0 3 |
| 40.88 | 2.207 | 42 | 2 0 0 |
| 41.80 | 2.161 | 83 | 1 1 2 |
| 44.46 | 2.038 | 26 | 0 0 4 |
| 46.81 | 1.941 | 100 | 2 0 2 |
| 49.25 | 1.850 | 32 | 1 0 4 |
| 67.70 | 1.384 | 18 | 3 0 2 |
| 73.34 | 1.291 | 19 | 2 1 4 |
| 74.45 | 1.274 | 31 | 2 2 0 |



(5)
The following is a calculated X-ray powder pattern of MnGaGeSe2. It was derived from a DFT-relaxed cell (PBE, Alexandria), using Cu Ka.
Kinematic intensities with the Lorentz-polarization factor, no thermal factor.

Atomic structure:
```
data_MnGaGeSe2
_chemical_formula_sum 'Mn1 Ga1 Ge1 Se2'
_space_group_name_H-M_alt 'P 1'
_space_group_IT_number 1
_cell_length_a 3.7878
_cell_length_b 5.4247
_cell_length_c 5.9508
_cell_angle_alpha 75.78
_cell_angle_beta 80.48
_cell_angle_gamma 77.42
loop_
_space_group_symop_operation_xyz
'x,y,z'
loop_
_atom_site_label
_atom_site_type_symbol
_atom_site_fract_x
_atom_site_fract_y
_atom_site_fract_z
_atom_site_occupancy
Mn1 Mn 0.0000 0.0000 0.0000 1
Ga1 Ga 0.4299 0.3604 0.4287 1
Ge1 Ge 0.5956 0.9509 0.7236 1
Se1 Se 0.3966 0.3181 0.0234 1
Se2 Se 0.8400 0.6872 0.4027 1
```

Top 10 peaks for 2θ = 10–80°, by angle:
| two_theta | d/Å | I_rel | index |
| --- | --- | --- | --- |
| 25.61 | 3.479 | 100 | 0 1 -1 |
| 27.06 | 3.295 | 76 | 1 1 0 |
| 31.23 | 2.864 | 31 | 0 0 2 |
| 32.27 | 2.774 | 53 | 0 1 2 |
| 32.43 | 2.761 | 47 | 1 -1 0 |
| 35.71 | 2.514 | 38 | -1 1 1 |
| 42.95 | 2.106 | 62 | 1 2 2 |
| 45.92 | 1.976 | 30 | 1 2 -1 |
| 46.30 | 1.961 | 42 | 1 -1 2 |
| 47.65 | 1.908 | 46 | 0 0 3 |



(6)
The following is a calculated X-ray powder pattern of Tb3Mn3Ga2Ge. It was derived from a DFT-relaxed cell (PBE, Alexandria), using Cu Ka.
Kinematic intensities with the Lorentz-polarization factor, no thermal factor.

Atomic structure:
```
data_Tb3Mn3Ga2Ge
_chemical_formula_sum 'Tb3 Mn3 Ga2 Ge1'
_space_group_name_H-M_alt 'P -6'
_space_group_IT_number 174
_cell_length_a 7.0481
_cell_length_b 7.0481
_cell_length_c 4.1589
_cell_angle_alpha 90.00
_cell_angle_beta 90.00
_cell_angle_gamma 120.00
loop_
_space_group_symop_operation_xyz
'x,y,z'
'-x+y,-x,-z'
'-y,x-y,z'
'x,y,-z'
'-x+y,-x,z'
'-y,x-y,-z'
loop_
_atom_site_label
_atom_site_type_symbol
_atom_site_fract_x
_atom_site_fract_y
_atom_site_fract_z
_atom_site_occupancy
Tb1 Tb 0.0018 0.5842 0.0000 1
Mn1 Mn 0.0046 0.2343 0.5000 1
Ga1 Ga 0.0000 0.0000 0.0000 1
Ga2 Ga 0.6667 0.3333 0.5000 1
Ge1 Ge 0.3333 0.6667 0.5000 1
```

Top 10 peaks for 2θ = 10–80°, by angle:
| two_theta | d/Å | I_rel | index |
| --- | --- | --- | --- |
| 25.27 | 3.524 | 18 | 1 1 0 |
| 29.26 | 3.052 | 23 | 2 0 0 |
| 33.32 | 2.689 | 99 | 1 1 1 |
| 36.52 | 2.461 | 100 | 2 0 1 |
| 39.04 | 2.307 | 40 | 1 2 0 |
| 43.52 | 2.079 | 28 | 0 0 2 |
| 54.18 | 1.693 | 19 | 3 1 0 |
| 58.90 | 1.568 | 32 | 3 1 1 |
| 59.88 | 1.545 | 22 | 1 2 2 |
| 71.03 | 1.327 | 19 | 2 3 1 |



(7)
The following is a calculated X-ray powder pattern of TmMn6GaGe5. It was derived from a DFT-relaxed cell (PBE, Alexandria), using Cu Ka.
Kinematic intensities with the Lorentz-polarization factor, no thermal factor.

Atomic structure:
```
data_TmMn6GaGe5
_chemical_formula_sum 'Tm1 Mn6 Ga1 Ge5'
_space_group_name_H-M_alt 'P 6 m m'
_space_group_IT_number 183
_space_group_name_Hall 'P 6 -2'
_cell_length_a 5.1557
_cell_length_b 5.1557
_cell_length_c 8.1464
_cell_angle_alpha 90.00
_cell_angle_beta 90.00
_cell_angle_gamma 120.00
loop_
_atom_site_label
_atom_site_type_symbol
_atom_site_fract_x
_atom_site_fract_y
_atom_site_fract_z
_atom_site_occupancy
Tm1 Tm 0.0000 0.0000 0.0000 1
Mn1 Mn 0.0000 0.5000 0.2550 1
Mn2 Mn 0.0000 0.5000 0.7569 1
Ga1 Ga 0.0000 0.0000 0.6579 1
Ge1 Ge 0.0000 0.0000 0.3422 1
Ge2 Ge 0.3333 0.6667 0.0049 1
Ge3 Ge 0.3333 0.6667 0.5079 1
```

Top 10 peaks for 2θ = 10–80°, by angle:
| two_theta | d/Å | I_rel | index |
| --- | --- | --- | --- |
| 34.80 | 2.578 | 77 | 1 1 0 |
| 38.81 | 2.320 | 45 | 1 0 3 |
| 40.40 | 2.232 | 50 | 2 0 0 |
| 41.45 | 2.178 | 100 | 1 1 2 |
| 44.49 | 2.037 | 24 | 0 0 4 |
| 46.38 | 1.958 | 37 | 2 0 2 |
| 48.71 | 1.870 | 23 | 1 1 3 |
| 66.94 | 1.398 | 23 | 3 0 2 |
| 73.47 | 1.289 | 29 | 2 2 0 |
| 79.84 | 1.201 | 30 | 1 1 6 |



(8)
The following is a calculated X-ray powder pattern of Y3Mn3Ga2Ge. It was derived from a DFT-relaxed cell (PBE, Alexandria), using Cu Ka.
Kinematic intensities with the Lorentz-polarization factor, no thermal factor.

Atomic structure:
```
data_Y3Mn3Ga2Ge
_chemical_formula_sum 'Y3 Mn3 Ga2 Ge1'
_space_group_name_H-M_alt 'P -6'
_space_group_IT_number 174
_cell_length_a 7.0508
_cell_length_b 7.0508
_cell_length_c 4.1358
_cell_angle_alpha 90.00
_cell_angle_beta 90.00
_cell_angle_gamma 120.00
loop_
_space_group_symop_operation_xyz
'x,y,z'
'-x+y,-x,-z'
'-y,x-y,z'
'x,y,-z'
'-x+y,-x,z'
'-y,x-y,-z'
loop_
_atom_site_label
_atom_site_type_symbol
_atom_site_fract_x
_atom_site_fract_y
_atom_site_fract_z
_atom_site_occupancy
Y1 Y 0.0018 0.5842 0.0000 1
Mn1 Mn 0.0044 0.2346 0.5000 1
Ga1 Ga 0.0000 0.0000 0.0000 1
Ga2 Ga 0.6667 0.3333 0.5000 1
Ge1 Ge 0.3333 0.6667 0.5000 1
```

Top 10 peaks for 2θ = 10–80°, by angle:
| two_theta | d/Å | I_rel | index |
| --- | --- | --- | --- |
| 33.40 | 2.683 | 82 | 1 1 1 |
| 36.58 | 2.456 | 100 | 2 0 1 |
| 39.03 | 2.308 | 40 | 2 1 0 |
| 43.78 | 2.068 | 30 | 0 0 2 |
| 44.51 | 2.035 | 21 | 3 0 0 |
| 44.98 | 2.015 | 25 | 2 1 1 |
| 58.93 | 1.567 | 19 | 3 1 1 |
| 60.07 | 1.540 | 21 | 2 1 2 |
| 64.21 | 1.451 | 14 | 3 0 2 |
| 71.05 | 1.327 | 20 | 3 2 1 |



(9)
The following is a calculated X-ray powder pattern of Ga2GeMo8S16. It was derived from a DFT-relaxed cell (PBE, Alexandria), using Cu Ka.
Kinematic intensities with the Lorentz-polarization factor, no thermal factor.

Atomic structure:
```
data_Ga2GeMo8S16
_chemical_formula_sum 'Ga2 Ge1 Mo8 S16'
_space_group_name_H-M_alt 'P -4 m 2'
_space_group_IT_number 115
_cell_length_a 6.9101
_cell_length_b 6.9101
_cell_length_c 11.8599
_cell_angle_alpha 90.00
_cell_angle_beta 90.00
_cell_angle_gamma 90.00
loop_
_space_group_symop_operation_xyz
'x,y,z'
'y,-x,-z'
'-x,-y,z'
'-y,x,-z'
'-x,y,z'
'-y,-x,-z'
'x,-y,z'
'y,x,-z'
loop_
_atom_site_label
_atom_site_type_symbol
_atom_site_fract_x
_atom_site_fract_y
_atom_site_fract_z
_atom_site_occupancy
Ga1 Ga 0.0000 0.5000 0.2080 1
Ge1 Ge 0.0000 0.0000 0.5000 1
Mo1 Mo 0.0000 0.2936 0.7140 1
Mo2 Mo 0.2086 0.5000 0.8768 1
S1 S 0.0000 0.2234 0.3201 1
S2 S 0.0000 0.2334 0.9060 1
S3 S 0.2658 0.5000 0.6794 1
S4 S 0.2721 0.5000 0.0942 1
```

Top 10 peaks for 2θ = 10–80°, by angle:
| two_theta | d/Å | I_rel | index |
| --- | --- | --- | --- |
| 14.84 | 5.971 | 100 | 1 0 1 |
| 14.94 | 5.930 | 43 | 0 0 2 |
| 29.88 | 2.990 | 39 | 2 1 1 |
| 32.68 | 2.740 | 22 | 2 1 2 |
| 32.87 | 2.725 | 24 | 1 0 4 |
| 36.79 | 2.443 | 38 | 2 2 0 |
| 36.92 | 2.435 | 23 | 2 1 3 |
| 48.09 | 1.892 | 35 | 3 2 1 |
| 53.01 | 1.727 | 24 | 4 0 0 |
| 53.87 | 1.702 | 29 | 2 2 5 |



(10)
The following is a calculated X-ray powder pattern of Nd4GaGeN. It was derived from a DFT-relaxed cell (PBE, Alexandria), using Cu Ka.
Kinematic intensities with the Lorentz-polarization factor, no thermal factor.

Atomic structure:
```
data_Nd4GaGeN
_chemical_formula_sum 'Nd16 Ga4 Ge4 N4'
_space_group_name_H-M_alt 'C m c m'
_space_group_IT_number 63
_space_group_name_Hall '-C 2c 2'
_cell_length_a 6.8435
_cell_length_b 15.7801
_cell_length_c 6.8439
_cell_angle_alpha 90.00
_cell_angle_beta 90.00
_cell_angle_gamma 90.00
loop_
_atom_site_label
_atom_site_type_symbol
_atom_site_fract_x
_atom_site_fract_y
_atom_site_fract_z
_atom_site_occupancy
Nd1 Nd 0.0000 0.0791 0.2500 1
Nd2 Nd 0.0000 0.4201 0.2500 1
Nd3 Nd 0.2500 0.2500 0.0000 1
Ga1 Ga 0.0000 0.3853 0.7500 1
Ge1 Ge 0.0000 0.1134 0.7500 1
N1 N 0.0000 0.2513 0.2500 1
```

Top 10 peaks for 2θ = 10–80°, by angle:
| two_theta | d/Å | I_rel | index |
| --- | --- | --- | --- |
| 28.43 | 3.139 | 100 | 2 2 0 |
| 33.91 | 2.644 | 19 | 1 5 1 |
| 34.09 | 2.630 | 32 | 0 6 0 |
| 34.70 | 2.585 | 84 | 2 4 0 |
| 37.16 | 2.420 | 66 | 2 0 2 |
| 51.31 | 1.781 | 40 | 2 6 2 |
| 53.58 | 1.710 | 33 | 4 0 0 |
| 61.75 | 1.502 | 23 | 4 2 2 |
| 65.05 | 1.434 | 29 | 4 6 0 |
| 65.41 | 1.427 | 27 | 4 4 2 |



(11)
The following is a calculated X-ray powder pattern of Pr4GaGeN. It was derived from a DFT-relaxed cell (PBE, Alexandria), using Cu Ka.
Kinematic intensities with the Lorentz-polarization factor, no thermal factor.

Atomic structure:
```
data_Pr4GaGeN
_chemical_formula_sum 'Pr16 Ga4 Ge4 N4'
_space_group_name_H-M_alt 'C m c m'
_space_group_IT_number 63
_space_group_name_Hall '-C 2c 2'
_cell_length_a 6.9126
_cell_length_b 15.8860
_cell_length_c 6.9137
_cell_angle_alpha 90.00
_cell_angle_beta 90.00
_cell_angle_gamma 90.00
loop_
_atom_site_label
_atom_site_type_symbol
_atom_site_fract_x
_atom_site_fract_y
_atom_site_fract_z
_atom_site_occupancy
Pr1 Pr 0.0000 0.0783 0.2500 1
Pr2 Pr 0.0000 0.4203 0.2500 1
Pr3 Pr 0.2500 0.2500 0.0000 1
Ga1 Ga 0.0000 0.3848 0.7500 1
Ge1 Ge 0.0000 0.1135 0.7500 1
N1 N 0.0000 0.2537 0.2500 1
```

Top 10 peaks for 2θ = 10–80°, by angle:
| two_theta | d/Å | I_rel | index |
| --- | --- | --- | --- |
| 28.15 | 3.169 | 100 | 2 2 0 |
| 33.64 | 2.664 | 20 | 1 5 1 |
| 33.86 | 2.648 | 32 | 0 6 0 |
| 34.40 | 2.607 | 84 | 2 4 0 |
| 36.77 | 2.444 | 67 | 2 0 2 |
| 50.84 | 1.796 | 40 | 2 6 2 |
| 52.98 | 1.728 | 23 | 4 0 0 |
| 61.07 | 1.517 | 23 | 4 2 2 |
| 64.37 | 1.447 | 19 | 4 6 0 |
| 64.71 | 1.441 | 27 | 4 4 2 |



(12)
The following is a calculated X-ray powder pattern of UGaGeN. It was derived from a DFT-relaxed cell (PBE, Alexandria), using Cu Ka.
Kinematic intensities with the Lorentz-polarization factor, no thermal factor.

Atomic structure:
```
data_UGaGeN
_chemical_formula_sum 'U2 Ga2 Ge2 N2'
_space_group_name_H-M_alt 'P 4/n m m'
_space_group_IT_number 129
_cell_length_a 3.9662
_cell_length_b 3.9662
_cell_length_c 8.7642
_cell_angle_alpha 90.00
_cell_angle_beta 90.00
_cell_angle_gamma 90.00
loop_
_space_group_symop_operation_xyz
'x,y,z'
'-x,-y,-z'
'-y+1/2,x,z'
'y+1/2,-x,-z'
'-x+1/2,-y+1/2,z'
'x+1/2,y+1/2,-z'
'y,-x+1/2,z'
'-y,x+1/2,-z'
'x+1/2,-y,-z'
'-x+1/2,y,z'
'-y,-x,-z'
'y,x,z'
'-x,y+1/2,-z'
'x,-y+1/2,z'
'y+1/2,x+1/2,-z'
'-y+1/2,-x+1/2,z'
loop_
_atom_site_label
_atom_site_type_symbol
_atom_site_fract_x
_atom_site_fract_y
_atom_site_fract_z
_atom_site_occupancy
U1 U 0.2500 0.2500 0.1276 1
Ga1 Ga 0.2500 0.7500 0.5000 1
Ge1 Ge 0.2500 0.2500 0.7005 1
N1 N 0.2500 0.7500 0.0000 1
```

Top 10 peaks for 2θ = 10–80°, by angle:
| two_theta | d/Å | I_rel | index |
| --- | --- | --- | --- |
| 10.09 | 8.764 | 23 | 0 0 1 |
| 24.64 | 3.613 | 18 | 1 0 1 |
| 30.40 | 2.941 | 100 | 1 0 2 |
| 31.91 | 2.804 | 28 | 1 1 0 |
| 33.55 | 2.671 | 40 | 1 1 1 |
| 38.10 | 2.362 | 18 | 1 1 2 |
| 38.26 | 2.352 | 29 | 1 0 3 |
| 45.75 | 1.983 | 34 | 2 0 0 |
| 53.04 | 1.727 | 24 | 1 1 4 |
| 55.92 | 1.644 | 37 | 2 1 2 |



(13)
The following is a calculated X-ray powder pattern of Na2GaGe3. It was derived from a DFT-relaxed cell (PBE, Alexandria), using Cu Ka.
Kinematic intensities with the Lorentz-polarization factor, no thermal factor.

Atomic structure:
```
data_Na2GaGe3
_chemical_formula_sum 'Na4 Ga2 Ge6'
_space_group_name_H-M_alt 'C 1 m 1'
_space_group_IT_number 8
_cell_length_a 10.3159
_cell_length_b 4.7899
_cell_length_c 7.2741
_cell_angle_alpha 90.00
_cell_angle_beta 134.20
_cell_angle_gamma 90.00
loop_
_space_group_symop_operation_xyz
'x,y,z'
'x,-y,z'
'x+1/2,y+1/2,z'
'x+1/2,-y+1/2,z'
loop_
_atom_site_label
_atom_site_type_symbol
_atom_site_fract_x
_atom_site_fract_y
_atom_site_fract_z
_atom_site_occupancy
Na1 Na 0.0000 0.0000 0.0000 1
Na2 Na 0.1330 0.0000 0.6398 1
Ga1 Ga 0.2252 0.5000 0.4024 1
Ge1 Ge 0.2313 0.5000 0.0520 1
Ge2 Ge 0.4031 0.0000 0.2321 1
Ge3 Ge 0.4044 0.0000 0.5905 1
```

Top 10 peaks for 2θ = 10–80°, by angle:
| two_theta | d/Å | I_rel | index |
| --- | --- | --- | --- |
| 17.00 | 5.215 | 38 | 0 0 1 |
| 17.19 | 5.157 | 41 | 2 0 -1 |
| 22.11 | 4.020 | 65 | 1 1 0 |
| 24.48 | 3.637 | 38 | 2 0 -2 |
| 32.88 | 2.724 | 48 | 1 1 1 |
| 33.10 | 2.706 | 81 | 1 1 -2 |
| 37.55 | 2.395 | 80 | 0 2 0 |
| 38.96 | 2.311 | 40 | 2 0 -3 |
| 39.23 | 2.296 | 45 | 4 0 -3 |
| 41.19 | 2.192 | 100 | 3 1 0 |



(14)
The following is a calculated X-ray powder pattern of Na4Ga5Ge2. It was derived from a DFT-relaxed cell (PBE, Alexandria), using Cu Ka.
Kinematic intensities with the Lorentz-polarization factor, no thermal factor.

Atomic structure:
```
data_Na4Ga5Ge2
_chemical_formula_sum 'Na4 Ga5 Ge2'
_space_group_name_H-M_alt 'P 1 2/m 1'
_space_group_IT_number 10
_cell_length_a 8.3791
_cell_length_b 2.9554
_cell_length_c 9.6278
_cell_angle_alpha 90.00
_cell_angle_beta 90.98
_cell_angle_gamma 90.00
loop_
_space_group_symop_operation_xyz
'x,y,z'
'-x,-y,-z'
'-x,y,-z'
'x,-y,z'
loop_
_atom_site_label
_atom_site_type_symbol
_atom_site_fract_x
_atom_site_fract_y
_atom_site_fract_z
_atom_site_occupancy
Na1 Na 0.1663 0.0000 0.1216 1
Na2 Na 0.2945 0.0000 0.5117 1
Ga1 Ga 0.2142 0.5000 0.8280 1
Ga2 Ga 0.4782 0.5000 0.2647 1
Ga3 Ga 0.5000 0.5000 0.0000 1
Ge1 Ge 0.0078 0.5000 0.3649 1
```

Top 10 peaks for 2θ = 10–80°, by angle:
| two_theta | d/Å | I_rel | index |
| --- | --- | --- | --- |
| 13.89 | 6.374 | 100 | 1 0 -1 |
| 21.20 | 4.191 | 34 | 2 0 0 |
| 30.24 | 2.955 | 79 | 0 1 0 |
| 33.42 | 2.681 | 63 | 1 1 -1 |
| 33.57 | 2.670 | 72 | 3 0 1 |
| 34.93 | 2.569 | 81 | 2 0 -3 |
| 37.23 | 2.415 | 55 | 2 1 0 |
| 39.12 | 2.303 | 71 | 1 0 4 |
| 50.23 | 1.816 | 44 | 1 1 4 |
| 53.63 | 1.709 | 34 | 4 1 0 |